# 1
Ac2In3Cu2: simulated powder XRD pattern (Cu Kα (λ = 1.5418 Å)), based on a GGA-PBE-relaxed structure.
No peak broadening, texture or thermal motion is included.

Cell and atoms:
Cell lengths 4.422, 21.379, 4.023 Å; angles 90.00, 90.00, 90.00 degrees
Space group Cmmm (No. 65)
Symmetry-distinct sites (fractional):
Ac: 0.000 0.166 0.000 x4
In: 0.000 0.000 0.000 x2
In: 0.000 0.429 0.500 x4
Cu: 0.000 0.281 0.500 x4

Largest 10 diffraction maxima, sorted by position, 5° ≤ 2θ ≤ 70°:
d_spacing, I (rel.), index
3.759, 28, 1 3 0
3.074, 21, 1 5 0
2.947, 100, 1 1 1
2.746, 30, 1 3 1
2.668, 82, 0 6 1
2.513, 50, 1 7 0
2.211, 29, 2 0 0
2.011, 22, 0 0 2
1.702, 43, 2 6 1
1.570, 24, 1 7 2

=====

# 2
Ac2InCu3: simulated powder XRD pattern (Cu Kα (λ = 1.5418 Å)), based on a GGA-PBE-relaxed structure.
No peak broadening, texture or thermal motion is included.

Cell and atoms:
Cell lengths 4.244, 4.325, 16.580 Å; angles 90.00, 90.00, 90.00 degrees
Space group Imm2 (No. 44)
Symmetry-distinct sites (fractional):
Ac: 0.000 0.000 0.000 x2
Ac: 0.000 0.500 0.273 x2
In: 0.000 0.000 0.603 x2
Cu: 0.000 0.000 0.430 x2
Cu: 0.000 0.500 0.695 x2
Cu: 0.000 0.500 0.847 x2

Largest 10 diffraction maxima, sorted by position, 5° ≤ 2θ ≤ 70°:
d_spacing, I (rel.), index
3.366, 34, 1 0 3
2.845, 100, 1 1 2
2.632, 42, 0 1 5
2.613, 14, 1 0 5
2.163, 19, 0 2 0
2.122, 18, 2 0 0
2.069, 23, 1 0 7
1.819, 12, 1 2 3
1.652, 21, 2 1 5
1.495, 16, 1 2 7

=====

# 3
AcIn12Cu6: simulated powder XRD pattern (Cu Kα (λ = 1.5418 Å)), based on a GGA-PBE-relaxed structure.
No peak broadening, texture or thermal motion is included.

Cell and atoms:
Cell lengths 12.5956, 12.5956, 9.3774 Å; angles 90.00, 90.00, 120.00 degrees
Space group R-3m (No. 166, hexagonal axes)
Symmetry-distinct sites (fractional):
Ac: 0.0000 0.0000 0.0000 x3
In: 0.0000 0.3818 0.5000 x18
In: 0.0858 0.1716 0.3366 x18
Cu: 0.0323 0.5162 0.2526 x18

Largest 10 diffraction maxima, sorted by position, 5° ≤ 2θ ≤ 70°:
d_spacing, I (rel.), index
2.879, 100, 1 3 1
2.800, 57, 1 1 3
2.542, 26, 3 1 2
2.370, 21, 0 3 3
2.357, 16, 0 4 2
2.208, 17, 2 3 2
2.154, 25, 0 2 4
1.978, 40, 5 0 2
1.594, 20, 3 1 5
1.406, 16, 4 4 3

=====

# 4
Ac2In12Cu7: simulated powder XRD pattern (Cu Kα (λ = 1.5418 Å)), based on a GGA-PBE-relaxed structure.
No peak broadening, texture or thermal motion is included.

Cell and atoms:
Cell lengths 10.9740, 10.9740, 4.4368 Å; angles 90.00, 90.00, 120.00 degrees
Space group P-3 (No. 147)
Symmetry-distinct sites (fractional):
Ac: 0.3333 0.6667 0.2582 x2
In: 0.0538 0.4370 0.7499 x6
In: 0.1133 0.2599 0.2491 x6
Cu: 0.0000 0.0000 0.5000 x1
Cu: 0.1223 0.7091 0.7568 x6

Largest 10 diffraction maxima, sorted by position, 5° ≤ 2θ ≤ 70°:
d_spacing, I (rel.), index
2.792, 100, 2 1 1
2.743, 10, 2 2 0
2.578, 8, 3 0 1
2.266, 14, 4 -1 1
2.218, 18, 0 0 2
2.180, 8, 3 2 0
2.074, 21, 1 4 0
1.665, 8, 6 -4 1
1.515, 12, 1 4 2
1.368, 11, 3 -2 3

=====

Which formula does entry 1 have? Ac2In3Cu2